Diffraction record for Li3FeOF4. The powder diffraction line list is computed, not measured: it uses a crystal structure in the Materials Project, relaxed with PBE+U and Cu Kα.
Intensities are scaled so that the largest is 100.

Structural model:
Lattice parameters (Å, degrees): 5.2988 5.2988 6.9089 129.58 129.58 41.43
Fractional coordinates of all 9 atoms:
Li 0.0000 0.0000 0.0000
Li 0.3619 0.3619 0.2040
Li 0.5595 0.5595 0.7521
Fe 0.1736 0.1736 0.5586
O 0.6462 0.6462 0.5675
F 0.1185 0.1185 0.8303
F 0.2595 0.2595 0.3677
F 0.4434 0.4434 0.8961
F 0.9122 0.9122 0.1897

Largest 6 diffraction maxima, low angle first, 2θ from 10° to 90°:
2θ 17.53, d 5.058, I = 64; 2θ 17.92, d 4.950, I = 88; 2θ 26.77, d 3.331, I = 100; 2θ 27.06, d 3.295, I = 59; 2θ 39.19, d 2.298, I = 66; 2θ 41.40, d 2.181, I = 61